The following is a computed powder X-ray diffraction pattern of Pu4Se6Cl. It was derived from a DFT-relaxed cell (GGA-PBE, Alexandria), using Cu Ka.
Lines closer than 0.1° are merged.

Structure:
a b c (Å): 8.863 8.863 3.995
angles (deg): 90.00 90.00 120.00
Atoms (fractional coordinates):
Pu 0.000 0.000 0.000
Pu 0.020 0.510 0.500
Pu 0.490 0.510 0.500
Pu 0.490 0.980 0.500
Se 0.207 0.415 0.000
Se 0.207 0.793 0.000
Se 0.276 0.138 0.500
Se 0.585 0.793 0.000
Se 0.862 0.138 0.500
Se 0.862 0.724 0.500
Cl 0.667 0.333 0.000

The 10 most intense peaks (2θ = 10–90°), sorted by position:
2θ (°)  intensity  (hkl)
23.18  100  2 0 0
25.13  38  1 0 1
30.12  58  1 1 1
32.35  64  2 0 1
38.35  100  2 1 1
40.72  67  2 2 0
41.93  26  3 0 1
51.58  25  2 0 2
62.62  38  2 2 2
82.09  28  4 2 2

=====

The following is a computed powder X-ray diffraction pattern of YPuTh. It was derived from a DFT-relaxed cell (GGA-PBE, Alexandria), using Cu Ka.
Lines closer than 0.1° are merged.

Structure:
a b c (Å): 3.545 3.545 14.466
angles (deg): 90.00 90.00 90.00
Atoms (fractional coordinates):
Y 0.000 0.000 0.000
Y 0.500 0.500 0.500
Pu 0.000 0.000 0.674
Pu 0.500 0.500 0.174
Th 0.000 0.000 0.327
Th 0.500 0.500 0.827

The 10 most intense peaks (2θ = 10–90°), sorted by position:
2θ (°)  intensity  (hkl)
12.24  20  0 0 2
31.32  100  1 0 3
35.82  36  1 1 0
37.30  15  0 0 6
51.57  13  2 0 0
52.68  23  1 1 6
61.58  30  2 1 3
63.56  12  1 0 9
65.35  12  2 0 6
86.16  11  2 1 9

=====

The following is a computed powder X-ray diffraction pattern of NaSr2NbO5. It was derived from a DFT-relaxed cell (GGA-PBE, Alexandria), using Cu Ka.
Lines closer than 0.1° are merged.

Structure:
a b c (Å): 6.887 6.887 6.257
angles (deg): 90.00 90.00 90.00
Atoms (fractional coordinates):
Na 0.000 0.000 0.000
Na 0.500 0.500 0.000
Sr 0.180 0.320 0.500
Sr 0.320 0.820 0.500
Sr 0.680 0.180 0.500
Sr 0.820 0.680 0.500
Nb 0.000 0.500 0.000
Nb 0.500 0.000 0.000
O 0.000 0.000 0.500
O 0.139 0.639 0.222
O 0.139 0.639 0.778
O 0.361 0.139 0.222
O 0.361 0.139 0.778
O 0.500 0.500 0.500
O 0.639 0.861 0.222
O 0.639 0.861 0.778
O 0.861 0.361 0.222
O 0.861 0.361 0.778

The 10 most intense peaks (2θ = 10–90°), sorted by position:
2θ (°)  intensity  (hkl)
18.22  48  1 1 0
28.53  37  0 0 2
29.61  100  2 0 1
32.40  60  2 1 1
36.91  27  2 2 0
41.13  50  2 1 2
44.02  34  3 1 1
47.31  25  2 2 2
51.21  23  2 0 3
61.54  21  3 1 3

=====

The following is a computed powder X-ray diffraction pattern of AlPd3Au4. It was derived from a DFT-relaxed cell (GGA-PBE, Alexandria), using Cu Ka.
Lines closer than 0.1° are merged.

Structure:
a b c (Å): 23.118 2.877 4.324
angles (deg): 90.00 100.59 90.00
Atoms (fractional coordinates):
Al 0.000 0.000 0.000
Al 0.500 0.500 0.000
Pd 0.000 0.500 0.500
Pd 0.164 0.500 0.663
Pd 0.336 0.000 0.337
Pd 0.500 0.000 0.500
Pd 0.664 0.000 0.663
Pd 0.836 0.500 0.337
Au 0.093 0.500 0.093
Au 0.214 0.000 0.213
Au 0.286 0.500 0.787
Au 0.407 0.000 0.907
Au 0.593 0.000 0.093
Au 0.714 0.500 0.213
Au 0.786 0.000 0.787
Au 0.907 0.500 0.907

The 10 most intense peaks (2θ = 10–90°), sorted by position:
2θ (°)  intensity  (hkl)
20.91  42  0 0 1
31.34  60  1 1 0
34.49  88  6 0 1
34.61  88  8 0 -1
36.98  68  5 1 0
38.41  85  3 1 -1
40.89  87  5 1 -1
41.78  96  2 0 -2
44.77  100  5 1 1
75.58  45  8 2 -1

=====

The following is a computed powder X-ray diffraction pattern of SrLaTlAs2O8. It was derived from a DFT-relaxed cell (GGA-PBE, Alexandria), using Cu Ka.
Lines closer than 0.1° are merged.

Structure:
a b c (Å): 7.467 7.467 13.833
angles (deg): 90.00 90.00 120.00
Atoms (fractional coordinates):
Sr 0.000 0.500 0.000
Sr 0.500 0.000 0.333
Sr 0.500 0.500 0.667
La 0.000 0.500 0.504
La 0.499 0.000 0.837
La 0.500 0.501 0.170
Tl 0.000 0.999 0.401
Tl 0.001 0.001 0.067
Tl 0.999 0.000 0.734
As 0.000 0.499 0.747
As 0.000 0.500 0.258
As 0.499 0.000 0.081
As 0.500 0.000 0.591
As 0.500 0.500 0.924
As 0.501 0.501 0.414
O 0.132 0.703 0.337
O 0.133 0.428 0.669
O 0.142 0.705 0.823
O 0.146 0.441 0.182
O 0.295 0.437 0.490
O 0.295 0.854 0.515
O 0.295 0.867 0.002
O 0.297 0.429 0.004
O 0.428 0.131 0.671
O 0.430 0.297 0.335
O 0.435 0.143 0.156
O 0.442 0.296 0.848
O 0.559 0.705 0.849
O 0.563 0.858 0.156
O 0.571 0.868 0.671
O 0.572 0.705 0.335
O 0.703 0.133 0.002
O 0.703 0.572 0.004
O 0.704 0.146 0.515
O 0.708 0.565 0.489
O 0.854 0.558 0.182
O 0.857 0.292 0.823
O 0.867 0.570 0.669
O 0.869 0.297 0.337

The 10 most intense peaks (2θ = 10–90°), sorted by position:
2θ (°)  intensity  (hkl)
23.70  38  0 1 3
27.59  100  2 0 0
29.29  35  0 1 4
30.82  19  2 -1 3
35.38  14  1 1 4
41.83  18  2 1 3
45.44  24  3 -1 4
48.79  20  2 2 0
54.95  13  1 0 8
66.20  13  1 2 8

=====

- Number 5 is which compound?
  SrLaTlAs2O8

=====

- Which formula does entry 1 have?
  Pu4Se6Cl